Starting from a DFT-relaxed cell (GGA-PBE, Alexandria), the powder diffraction line list of CaIn2W was calculated for Cu Kα (λ = 1.5418 Å).

Structure:
Cell lengths 3.0896, 3.0896, 9.1125 Å; angles 90.00, 90.00, 90.00 degrees
Atoms (fractional coordinates):
Ca 0.0000 0.0000 0.0000
In 0.5000 0.5000 0.2753
In 0.5000 0.5000 0.7247
W 0.0000 0.0000 0.5000

Main lines, in order of falling intensity (2θ from 5° to 70°):
| 2θ (°) | I_rel | hkl |
| --- | --- | --- |
| 35.09 | 100 | 1 0 2 |
| 9.71 | 73 | 0 0 1 |
| 41.33 | 33 | 1 1 0 |
| 41.70 | 19 | 1 0 3 |
| 58.54 | 19 | 1 1 4 |
| 39.56 | 15 | 0 0 4 |
| 59.87 | 11 | 2 0 0 |
| 42.55 | 9 | 1 1 1 |
| 68.89 | 9 | 1 0 6 |
| 30.55 | 7 | 1 0 1 |